Mg7SiN6: computed powder X-ray diffraction pattern (copper Kα), based on the PBE geometry in Alexandria.

Structure:
Lattice parameters (Å, degrees): 8.1920 8.1920 8.1920 140.78 102.17 90.83
Element x y z (fractional)
Mg  0.0420  0.2185  0.2605
Mg  0.1086  0.4863  0.8351
Mg  0.1511  0.9863  0.3776
Mg  0.2500  0.2500  0.0000
Mg  0.3489  0.7265  0.8351
Mg  0.3914  0.2265  0.3776
Mg  0.4580  0.7185  0.1765
Mg  0.5420  0.2815  0.8235
Mg  0.6086  0.7735  0.6224
Mg  0.6511  0.2735  0.1649
Mg  0.7500  0.7500  0.0000
Mg  0.8489  0.0137  0.6224
Mg  0.8914  0.5137  0.1649
Mg  0.9580  0.7815  0.7395
Si  0.2500  0.7500  0.5000
Si  0.7500  0.2500  0.5000
N  0.0668  0.8654  0.5881
N  0.1554  0.8719  0.0273
N  0.2227  0.6346  0.2014
N  0.2773  0.4787  0.4119
N  0.3446  0.3719  0.7165
N  0.4332  0.0213  0.7986
N  0.5668  0.9787  0.2014
N  0.6554  0.6281  0.2835
N  0.7227  0.5213  0.5881
N  0.7773  0.3654  0.7986
N  0.8446  0.1281  0.9727
N  0.9332  0.1346  0.4119

Most intense lines, 10° ≤ 2θ ≤ 80°, in order of rising 2θ:
Position (°2θ)  Rel. int.
35.77  100
39.45  38
40.37  35
48.63  23
52.64  21
61.63  27